Diffraction record for GdDyEr2Ga2. The X-ray diffraction stick pattern is theoretical, not measured: it uses DFT lattice parameters and positions (GGA-PBE) and λ = 1.5418 Å (Cu Kα).
Kinematic intensities with the Lorentz-polarization factor, no thermal factor.

Crystal structure
Unit cell a=5.1482 b=5.1482 c=6.5703 alpha=90.00 beta=90.00 gamma=120.00
Space group P-6m2 (No. 187)
Symmetry-distinct sites (fractional):
1 Gd 0.0000 0.0000 0.0000 (multiplicity 1)
2 Dy 0.3333 0.6667 0.5000 (multiplicity 1)
3 Er 0.6667 0.3333 0.2512 (multiplicity 2)
4 Ga 0.0000 0.0000 0.5000 (multiplicity 1)
5 Ga 0.3333 0.6667 0.0000 (multiplicity 1)

Principal peaks in the range 15 to 90 degrees two-theta, in order of rising 2θ:
(hkl)	2θ (°)	I_rel
1 0 2	33.89	100
1 1 0	34.85	92
2 0 2	49.41	35
2 1 2	61.88	35
3 0 0	62.49	17
1 1 4	67.66	27

=====

Diffraction record for NiGe2Se. The X-ray diffraction stick pattern is theoretical, not measured: it uses DFT lattice parameters and positions (GGA-PBE) and λ = 1.5418 Å (Cu Kα).
Kinematic intensities with the Lorentz-polarization factor, no thermal factor.

Crystal structure
Unit cell a=3.8085 b=8.3212 c=5.0650 alpha=90.00 beta=90.00 gamma=90.00
Space group Pmc2_1 (No. 26)
Symmetry-distinct sites (fractional):
1 Ni 0.0000 0.0195 0.0000 (multiplicity 2)
2 Ge 0.0000 0.2499 0.2700 (multiplicity 2)
3 Ge 0.5000 0.0930 0.7391 (multiplicity 2)
4 Se 0.5000 0.3711 0.5448 (multiplicity 2)

Principal peaks in the range 15 to 90 degrees two-theta, in order of rising 2θ:
(hkl)	2θ (°)	I_rel
0 2 1	27.75	33
1 1 1	31.29	100
0 3 1	36.95	42
1 1 2	44.31	55
1 2 2	48.39	40
1 4 0	49.95	44

=====

Diffraction record for PrNdDy. The X-ray diffraction stick pattern is theoretical, not measured: it uses DFT lattice parameters and positions (GGA-PBE) and λ = 1.5418 Å (Cu Kα).
Kinematic intensities with the Lorentz-polarization factor, no thermal factor.

Crystal structure
Unit cell a=7.8198 b=7.8198 c=7.8198 alpha=90.00 beta=90.00 gamma=90.00
Space group F-43m (No. 216)
Symmetry-distinct sites (fractional):
1 Pr 0.0000 0.0000 0.0000 (multiplicity 4)
2 Nd 0.2500 0.2500 0.2500 (multiplicity 4)
3 Dy 0.2500 0.2500 0.7500 (multiplicity 4)

Principal peaks in the range 15 to 90 degrees two-theta, in order of rising 2θ:
(hkl)	2θ (°)	I_rel
1 1 1	19.66	24
2 0 0	22.74	16
2 2 0	32.38	100
4 0 0	46.45	18
4 2 2	57.76	38
6 2 0	77.15	16

=====

Please write out number 1 again, unchanged.
Diffraction record for GdDyEr2Ga2. The X-ray diffraction stick pattern is theoretical, not measured: it uses DFT lattice parameters and positions (GGA-PBE) and λ = 1.5418 Å (Cu Kα).
Kinematic intensities with the Lorentz-polarization factor, no thermal factor.

Crystal structure
Unit cell a=5.1482 b=5.1482 c=6.5703 alpha=90.00 beta=90.00 gamma=120.00
Space group P-6m2 (No. 187)
Symmetry-distinct sites (fractional):
1 Gd 0.0000 0.0000 0.0000 (multiplicity 1)
2 Dy 0.3333 0.6667 0.5000 (multiplicity 1)
3 Er 0.6667 0.3333 0.2512 (multiplicity 2)
4 Ga 0.0000 0.0000 0.5000 (multiplicity 1)
5 Ga 0.3333 0.6667 0.0000 (multiplicity 1)

Principal peaks in the range 15 to 90 degrees two-theta, in order of rising 2θ:
(hkl)	2θ (°)	I_rel
1 0 2	33.89	100
1 1 0	34.85	92
2 0 2	49.41	35
2 1 2	61.88	35
3 0 0	62.49	17
1 1 4	67.66	27